1.
The following is a simulated X-ray diffraction stick pattern of CsAg2IF2. It was derived from a crystal structure in Alexandria, relaxed with PBE, using copper Kα.
Peak positions follow from Bragg's law for the DFT cell and can differ from measured ones.

The 10 most intense peaks (2θ = 10–90°), in order of rising 2θ:
d/Å	Rel. int.
5.820	65.1
4.114	100.0
3.566	84.8
3.543	89.4
3.013	71.4
2.626	40.1
2.602	97.7
2.083	53.2
2.057	58.2
1.866	51.1

Atomic structure:
```
CsAg2IF2
1.0
6.341 0.000 0.000
0.000 5.817 0.000
-2.478 0.000 8.934
Cs Ag I F
2 4 2 4
Direct
0.188 0.250 0.411
0.812 0.750 0.589
0.367 0.502 0.849
0.367 0.998 0.849
0.633 0.002 0.151
0.633 0.498 0.151
0.225 0.750 0.076
0.775 0.250 0.924
0.107 0.250 0.699
0.353 0.750 0.640
0.647 0.250 0.360
0.893 0.750 0.301
```


2.
The following is a simulated X-ray diffraction stick pattern of LiAcPrAl. It was derived from a crystal structure in Alexandria, relaxed with PBE, using copper Kα.
Peak positions follow from Bragg's law for the DFT cell and can differ from measured ones.

The 10 most intense peaks (2θ = 10–90°), in order of rising 2θ:
d/Å	Rel. int.
3.974	43.4
3.868	83.9
2.772	100.0
2.735	49.9
2.253	39.5
1.934	18.4
1.739	18.1
1.730	18.4
1.608	17.9
1.586	38.0

Atomic structure:
```
LiAcPrAl
1.0
3.868 0.000 0.000
0.000 3.868 0.000
0.000 0.000 7.948
Li Ac Pr Al
1 1 1 1
Direct
0.000 0.000 0.000
0.500 0.500 0.716
0.500 0.500 0.245
0.000 0.000 0.462
```


3.
The following is a simulated X-ray diffraction stick pattern of CaPm2Sm. It was derived from a crystal structure in Alexandria, relaxed with PBE, using copper Kα.
Peak positions follow from Bragg's law for the DFT cell and can differ from measured ones.

The 10 most intense peaks (2θ = 10–90°), in order of rising 2θ:
d/Å	Rel. int.
3.193	20.7
3.088	23.1
3.039	28.8
2.826	100.0
2.508	18.4
2.201	13.7
1.843	21.3
1.711	20.2
1.576	24.3
1.544	16.1

Atomic structure:
```
CaPm2Sm
1.0
12.156 0.000 0.000
0.000 1.844 3.191
0.000 -1.844 3.191
Ca Pm Sm
1 2 1
Direct
0.000 0.000 0.000
0.261 0.666 0.666
0.739 0.666 0.666
0.500 0.332 0.332
```


4.
The following is a simulated X-ray diffraction stick pattern of TbNd8Er5. It was derived from a crystal structure in Alexandria, relaxed with PBE, using copper Kα.
Peak positions follow from Bragg's law for the DFT cell and can differ from measured ones.

The 10 most intense peaks (2θ = 10–90°), in order of rising 2θ:
d/Å	Rel. int.
3.238	58.8
3.079	69.5
3.061	75.0
2.851	25.3
2.691	100.0
2.632	43.8
2.598	50.6
1.686	20.8
1.530	21.3
1.498	21.7

Atomic structure:
```
TbNd8Er5
1.0
-4.839 4.839 5.154
4.839 -4.839 5.154
4.839 4.839 -5.154
Tb Nd Er
1 8 5
Direct
0.000 0.000 0.000
0.087 0.319 0.412
0.173 0.414 0.896
0.325 0.913 0.232
0.518 0.277 0.104
0.586 0.482 0.759
0.681 0.092 0.768
0.723 0.827 0.241
0.908 0.675 0.588
0.215 0.027 0.595
0.380 0.785 0.812
0.432 0.620 0.405
0.750 0.250 0.500
0.973 0.568 0.188
```


5.
The following is a simulated X-ray diffraction stick pattern of BaCd4Re. It was derived from a crystal structure in Alexandria, relaxed with PBE, using copper Kα.
Peak positions follow from Bragg's law for the DFT cell and can differ from measured ones.

The 10 most intense peaks (2θ = 10–90°), in order of rising 2θ:
d/Å	Rel. int.
2.946	37.2
2.512	100.0
2.405	30.5
1.701	14.9
1.604	33.0
1.473	26.7
1.317	6.4
1.271	11.3
1.256	10.7
1.113	7.9

Atomic structure:
```
BaCd4Re
1.0
0.000 4.166 4.166
4.166 0.000 4.166
4.166 4.166 0.000
Ba Cd Re
1 4 1
Direct
0.000 0.000 0.000
0.130 0.623 0.623
0.623 0.130 0.623
0.623 0.623 0.130
0.623 0.623 0.623
0.250 0.250 0.250
```


6.
The following is a simulated X-ray diffraction stick pattern of SmSi3Ni5. It was derived from a crystal structure in Alexandria, relaxed with PBE, using copper Kα.
Peak positions follow from Bragg's law for the DFT cell and can differ from measured ones.

The 10 most intense peaks (2θ = 10–90°), in order of rising 2θ:
d/Å	Rel. int.
3.226	46.6
2.838	31.8
2.680	58.1
2.612	34.7
2.601	100.0
2.433	59.4
2.333	26.8
2.237	67.1
1.977	28.2
1.843	47.3

Atomic structure:
```
SmSi3Ni5
1.0
1.843 -5.854 0.000
1.843 5.854 0.000
0.000 0.000 11.597
Sm Si Ni
2 6 10
Direct
0.161 0.839 0.750
0.839 0.161 0.250
0.113 0.887 0.250
0.383 0.617 0.039
0.383 0.617 0.461
0.617 0.383 0.539
0.617 0.383 0.961
0.887 0.113 0.750
0.000 0.000 0.000
0.000 0.000 0.500
0.197 0.803 0.067
0.197 0.803 0.433
0.449 0.551 0.646
0.449 0.551 0.854
0.551 0.449 0.146
0.551 0.449 0.354
0.803 0.197 0.567
0.803 0.197 0.933
```


7.
The following is a simulated X-ray diffraction stick pattern of Tm2InCl. It was derived from a crystal structure in Alexandria, relaxed with PBE, using copper Kα.
Peak positions follow from Bragg's law for the DFT cell and can differ from measured ones.

The 10 most intense peaks (2θ = 10–90°), in order of rising 2θ:
d/Å	Rel. int.
3.559	44.3
2.947	100.0
2.910	54.8
2.687	39.6
2.669	19.9
2.380	20.5
2.174	78.9
2.076	43.4
1.709	37.7
1.540	24.2

Atomic structure:
```
Tm2InCl
1.0
1.709 0.987 10.676
-1.709 0.987 10.676
0.000 -1.973 10.676
Tm In Cl
2 1 1
Direct
0.098 0.098 0.098
0.902 0.902 0.902
0.000 0.000 0.000
0.500 0.500 0.500
```


8.
The following is a simulated X-ray diffraction stick pattern of AcLa4S5. It was derived from a crystal structure in Alexandria, relaxed with PBE, using copper Kα.
Peak positions follow from Bragg's law for the DFT cell and can differ from measured ones.

The 10 most intense peaks (2θ = 10–90°), in order of rising 2θ:
d/Å	Rel. int.
3.421	77.7
2.962	100.0
2.095	73.5
1.786	39.6
1.710	25.8
1.480	7.9
1.359	16.2
1.325	27.3
1.209	24.6
1.140	7.8

Atomic structure:
```
AcLa4S5
1.0
-2.093 2.965 10.470
2.093 -2.965 10.470
2.093 2.965 -10.470
Ac La S
1 4 5
Direct
0.000 0.000 0.000
0.202 0.202 0.000
0.399 0.399 0.000
0.601 0.601 0.000
0.798 0.798 0.000
0.103 0.603 0.500
0.300 0.800 0.500
0.500 0.000 0.500
0.700 0.200 0.500
0.897 0.397 0.500
```


9.
The following is a simulated X-ray diffraction stick pattern of K4Ac. It was derived from a crystal structure in Alexandria, relaxed with PBE, using copper Kα.
Peak positions follow from Bragg's law for the DFT cell and can differ from measured ones.

The 10 most intense peaks (2θ = 10–90°), in order of rising 2θ:
d/Å	Rel. int.
7.685	100.0
5.434	93.9
3.842	66.6
3.437	63.8
3.137	50.7
2.717	53.0
2.562	37.1
2.430	25.7
2.054	31.8
1.718	25.7

Atomic structure:
```
K4Ac
1.0
7.685 0.000 0.000
0.000 7.685 0.000
0.000 0.000 7.685
K Ac
4 1
Direct
0.000 0.000 0.000
0.000 0.500 0.500
0.500 0.000 0.500
0.500 0.500 0.000
0.500 0.500 0.500
```


10.
The following is a simulated X-ray diffraction stick pattern of Zn5Te3I3. It was derived from a crystal structure in Alexandria, relaxed with PBE, using copper Kα.
Peak positions follow from Bragg's law for the DFT cell and can differ from measured ones.

The 10 most intense peaks (2θ = 10–90°), in order of rising 2θ:
d/Å	Rel. int.
3.761	79.6
3.580	100.0
3.217	13.9
2.367	19.6
2.231	72.3
2.193	20.8
1.974	28.3
1.894	38.5
1.433	12.2
1.273	12.0

Atomic structure:
```
Zn5Te3I3
1.0
4.387 0.000 0.000
0.000 14.199 0.000
0.000 0.000 6.194
Zn Te I
5 3 3
Direct
0.000 0.000 0.000
0.000 0.322 0.976
0.000 0.678 0.976
0.500 0.149 0.512
0.500 0.851 0.512
0.000 0.157 0.758
0.000 0.843 0.758
0.500 0.000 0.251
0.000 0.500 0.831
0.500 0.311 0.271
0.500 0.689 0.271
```


11.
The following is a simulated X-ray diffraction stick pattern of Cs3CaHg2F9. It was derived from a crystal structure in Alexandria, relaxed with PBE, using copper Kα.
Peak positions follow from Bragg's law for the DFT cell and can differ from measured ones.

The 10 most intense peaks (2θ = 10–90°), in order of rising 2θ:
d/Å	Rel. int.
5.678	6.8
4.637	6.9
3.279	100.0
2.319	33.2
1.893	43.8
1.640	22.0
1.466	19.9
1.339	7.1
1.239	22.6
1.093	12.2

Atomic structure:
```
Cs3CaHg2F9
1.0
6.556 0.000 0.000
-3.278 5.678 0.000
0.000 0.000 8.037
Cs Ca Hg F
3 1 2 9
Direct
0.000 0.000 0.000
0.333 0.667 0.673
0.667 0.333 0.327
0.000 0.000 0.500
0.333 0.667 0.173
0.667 0.333 0.827
0.000 0.500 0.000
0.163 0.327 0.337
0.163 0.837 0.337
0.327 0.163 0.663
0.500 0.000 0.000
0.500 0.500 0.000
0.673 0.837 0.337
0.837 0.163 0.663
0.837 0.673 0.663
```


12.
The following is a simulated X-ray diffraction stick pattern of Th2Zn7Ag. It was derived from a crystal structure in Alexandria, relaxed with PBE, using copper Kα.
Peak positions follow from Bragg's law for the DFT cell and can differ from measured ones.

The 10 most intense peaks (2θ = 10–90°), in order of rising 2θ:
d/Å	Rel. int.
4.000	24.6
3.073	19.1
2.685	62.2
2.635	100.0
2.173	50.5
1.853	25.8
1.689	31.5
1.536	16.5
1.410	20.9
1.327	23.2

Atomic structure:
```
Th2Zn7Ag
1.0
4.345 0.000 0.000
0.000 4.345 0.000
0.000 0.000 10.245
Th Zn Ag
2 7 1
Direct
0.000 0.500 0.244
0.500 0.000 0.756
0.000 0.000 0.000
0.000 0.500 0.639
0.000 0.500 0.873
0.500 0.000 0.127
0.500 0.000 0.361
0.500 0.500 0.000
0.500 0.500 0.500
0.000 0.000 0.500
```